NaH9O5: computed XRD peak list (Cu Kα, 1.54184 Å), based on a PBE-relaxed structure.

Largest 6 diffraction maxima, low angle first, 2θ = 5–70°:
hkl, 2θ (°), I/Imax
0 0 1, 10.31, 75
1 1 0, 22.83, 49
1 0 -1, 24.27, 100
1 1 2, 25.82, 62
0 1 -2, 27.74, 58
2 1 1, 41.12, 53

Structure:
```
NaH9O5
1.0
4.420 0.000 0.000
1.343 7.477 0.000
1.691 3.053 8.577
Na H O
2 18 10
Cartesian
0.000 0.000 0.000 Na
1.942 4.697 2.052 Na
2.761 7.860 7.956 H
2.038 7.294 2.890 H
1.113 2.333 1.301 H
2.879 8.363 4.269 H
1.980 1.723 2.555 H
4.376 7.879 7.835 H
3.772 5.401 5.410 H
5.139 10.102 7.833 H
4.035 4.043 6.988 H
3.368 1.586 4.191 H
4.562 6.125 6.644 H
3.867 3.704 3.921 H
3.341 2.284 0.971 H
4.060 2.284 5.478 H
4.337 5.199 3.420 H
4.849 7.318 2.965 H
5.891 5.978 8.300 H
6.384 6.845 6.577 H
3.609 8.300 8.329 O
1.966 2.469 1.825 O
3.432 8.055 3.518 O
3.810 5.506 6.396 O
3.579 4.660 3.685 O
4.316 3.068 7.141 O
4.100 2.204 4.492 O
5.823 7.130 7.328 O
4.193 2.167 0.438 O
5.618 6.866 2.498 O
```